1.
Computed powder diffraction line list of CuSi2Se4 for Cu Ka, from a GGA-PBE-relaxed structure.

Most intense lines, 15 to 90 degrees two-theta, low angle first:
| 2θ (°) | I_rel |
| --- | --- |
| 18.64 | 37.3 |
| 29.05 | 29.3 |
| 30.28 | 100.0 |
| 33.69 | 17.0 |
| 37.80 | 30.5 |
| 45.92 | 16.1 |
| 48.37 | 41.0 |
| 52.28 | 45.7 |
| 68.90 | 16.4 |
| 83.78 | 15.9 |

Cell lengths 7.524, 7.524, 6.148 Å; angles 90.00, 90.00, 90.00 degrees
Element x y z (fractional)
Cu (0.000, 0.000, 0.000)
Cu (0.500, 0.500, 0.500)
Si (0.000, 0.500, 0.250)
Si (0.000, 0.500, 0.750)
Si (0.500, 0.000, 0.250)
Si (0.500, 0.000, 0.750)
Se (0.149, 0.307, 0.000)
Se (0.193, 0.649, 0.500)
Se (0.307, 0.851, 0.000)
Se (0.351, 0.193, 0.500)
Se (0.649, 0.807, 0.500)
Se (0.693, 0.149, 0.000)
Se (0.807, 0.351, 0.500)
Se (0.851, 0.693, 0.000)

***

2.
Computed powder diffraction line list of CuSiSe2 for Cu Ka, from a GGA-PBE-relaxed structure.

Most intense lines, 15 to 90 degrees two-theta, low angle first:
| 2θ (°) | I_rel |
| --- | --- |
| 25.70 | 57.8 |
| 25.85 | 16.1 |
| 35.45 | 100.0 |
| 36.24 | 33.0 |
| 38.97 | 20.2 |
| 41.27 | 14.9 |
| 41.50 | 20.1 |
| 46.96 | 28.8 |
| 50.04 | 34.1 |
| 51.35 | 17.8 |

Cell lengths 13.920, 3.558, 3.661 Å; angles 90.00, 94.93, 90.00 degrees
Element x y z (fractional)
Cu (0.000, 0.000, 0.000)
Cu (0.500, 0.500, 0.000)
Si (0.140, 0.500, 0.570)
Si (0.640, 0.000, 0.570)
Se (0.186, 0.000, 0.131)
Se (0.469, 0.000, 0.498)
Se (0.686, 0.500, 0.131)
Se (0.969, 0.500, 0.498)

***

3.
Computed powder diffraction line list of Sm3CuSe6 for Cu Ka, from a GGA-PBE-relaxed structure.

Most intense lines, 15 to 90 degrees two-theta, low angle first:
| 2θ (°) | I_rel |
| --- | --- |
| 22.80 | 100.0 |
| 31.37 | 55.1 |
| 33.55 | 56.9 |
| 35.67 | 56.5 |
| 36.20 | 92.2 |
| 37.17 | 34.6 |
| 38.89 | 77.8 |
| 40.26 | 45.7 |
| 42.27 | 82.4 |
| 48.63 | 36.1 |

Cell lengths 7.925, 7.231, 17.122 Å; angles 90.00, 90.00, 90.00 degrees
Element x y z (fractional)
Sm (0.056, 0.226, 0.000)
Sm (0.057, 0.264, 0.665)
Sm (0.060, 0.244, 0.322)
Sm (0.440, 0.244, 0.822)
Sm (0.443, 0.264, 0.165)
Sm (0.444, 0.226, 0.500)
Sm (0.556, 0.774, 0.000)
Sm (0.557, 0.736, 0.665)
Sm (0.560, 0.756, 0.322)
Sm (0.940, 0.756, 0.822)
Sm (0.943, 0.736, 0.165)
Sm (0.944, 0.774, 0.500)
Cu (0.210, 0.598, 0.935)
Cu (0.290, 0.598, 0.435)
Cu (0.710, 0.402, 0.935)
Cu (0.790, 0.402, 0.435)
Se (0.090, 0.388, 0.495)
Se (0.095, 0.384, 0.832)
Se (0.099, 0.380, 0.161)
Se (0.247, 0.927, 0.738)
Se (0.248, 0.926, 0.911)
Se (0.249, 0.926, 0.590)
Se (0.251, 0.926, 0.090)
Se (0.252, 0.926, 0.411)
Se (0.253, 0.927, 0.238)
Se (0.401, 0.380, 0.661)
Se (0.405, 0.384, 0.332)
Se (0.410, 0.388, 0.995)
Se (0.590, 0.612, 0.495)
Se (0.595, 0.616, 0.832)
Se (0.599, 0.620, 0.161)
Se (0.747, 0.073, 0.738)
Se (0.748, 0.074, 0.911)
Se (0.749, 0.074, 0.590)
Se (0.751, 0.074, 0.090)
Se (0.752, 0.074, 0.411)
Se (0.753, 0.073, 0.238)
Se (0.901, 0.620, 0.661)
Se (0.905, 0.616, 0.332)
Se (0.910, 0.612, 0.995)

***

4.
Computed powder diffraction line list of SmTl2Cu2Se4 for Cu Ka, from a GGA-PBE-relaxed structure.

Most intense lines, 15 to 90 degrees two-theta, low angle first:
| 2θ (°) | I_rel |
| --- | --- |
| 22.91 | 23.4 |
| 28.31 | 26.1 |
| 28.98 | 56.1 |
| 30.70 | 49.9 |
| 31.40 | 100.0 |
| 33.47 | 76.8 |
| 37.28 | 32.9 |
| 41.12 | 20.5 |
| 44.98 | 42.2 |
| 50.87 | 45.3 |

Cell lengths 7.804, 7.804, 8.058 Å; angles 107.59, 107.59, 29.95 degrees
Element x y z (fractional)
Sm (0.000, 0.000, 0.000)
Tl (0.133, 0.133, 0.560)
Tl (0.867, 0.867, 0.440)
Cu (0.317, 0.317, 0.009)
Cu (0.683, 0.683, 0.991)
Se (0.204, 0.204, 0.179)
Se (0.472, 0.472, 0.239)
Se (0.528, 0.528, 0.761)
Se (0.796, 0.796, 0.821)